[1]
Pa3Ni9Ge2: theoretical X-ray diffraction stick pattern (Cu Kα X-rays), based on DFT lattice parameters and positions (GGA-PBE).
Lines closer than 0.1° are merged.

Crystal structure
```
14
Lattice="-1.962 4.493 5.929 1.962 -4.493 5.929 1.962 4.493 -5.929" Properties=species:S:1:pos:R:3 pbc="T T T"
Pa 0.000 0.000 0.000
Pa 0.000 0.000 3.580
Pa 0.000 0.000 8.277
Ni 1.962 -1.225 2.077
Ni 1.962 -1.944 4.501
Ni 1.962 1.225 2.077
Ni 0.000 2.549 1.427
Ni 0.000 4.493 0.000
Ni 1.962 1.944 4.501
Ni 0.000 3.268 3.852
Ni 0.000 6.437 1.427
Ni 0.000 5.718 3.852
Ge 1.962 2.530 0.000
Ge 0.000 1.963 5.929
```

Most intense lines, 2θ from 5° to 70°, by angle:
| two_theta | I/Imax |
| --- | --- |
| 24.6 | 240 |
| 24.8 | 295 |
| 32.1 | 337 |
| 36.3 | 180 |
| 37.7 | 328 |
| 37.8 | 488 |
| 38.0 | 1000 |
| 39.4 | 185 |
| 44.6 | 184 |
| 46.3 | 336 |



[2]
Pa2Ni5Ge: theoretical X-ray diffraction stick pattern (Cu Kα X-rays), based on DFT lattice parameters and positions (GGA-PBE).
Lines closer than 0.1° are merged.

Crystal structure
```
8
Lattice="-2.928 2.928 3.676 2.928 -2.928 3.676 2.928 2.928 -3.676" Properties=species:S:1:pos:R:3 pbc="T T T"
Pa 2.928 0.000 0.000
Pa 0.000 2.928 0.000
Ni 0.000 0.000 0.024
Ni 1.697 1.697 1.798
Ni 1.231 -1.231 5.474
Ni -1.231 1.231 5.474
Ni 1.231 1.231 5.474
Ge 0.000 0.000 2.446
```

Most intense lines, 2θ from 5° to 70°, by angle:
| two_theta | I/Imax |
| --- | --- |
| 21.5 | 387 |
| 30.5 | 253 |
| 32.6 | 647 |
| 39.3 | 1000 |
| 43.7 | 461 |
| 49.2 | 136 |
| 49.6 | 138 |
| 54.6 | 136 |
| 55.6 | 227 |
| 68.2 | 178 |



[3]
Pa2Ni6Ge: theoretical X-ray diffraction stick pattern (Cu Kα X-rays), based on DFT lattice parameters and positions (GGA-PBE).
Lines closer than 0.1° are merged.

Crystal structure
```
9
Lattice="5.207 0.000 0.000 -2.603 4.509 0.000 0.000 0.000 5.680" Properties=species:S:1:pos:R:3 pbc="T T T"
Pa 0.000 3.006 1.125
Pa 2.603 1.503 4.555
Ni 0.000 1.567 3.819
Ni -1.246 3.726 3.819
Ni 1.357 0.784 1.861
Ni 1.246 3.726 3.819
Ni 3.849 0.784 1.861
Ni 2.603 2.942 1.861
Ge 0.000 0.000 0.000
```

Most intense lines, 2θ from 5° to 70°, by angle:
| two_theta | I/Imax |
| --- | --- |
| 25.2 | 602 |
| 31.5 | 221 |
| 34.5 | 326 |
| 37.4 | 556 |
| 38.0 | 247 |
| 43.2 | 1000 |
| 51.8 | 172 |
| 52.4 | 173 |
| 56.4 | 187 |
| 63.7 | 192 |



[4]
PaNi3Ge3: theoretical X-ray diffraction stick pattern (Cu Kα X-rays), based on DFT lattice parameters and positions (GGA-PBE).
Lines closer than 0.1° are merged.

Crystal structure
```
14
Lattice="3.413 1.971 5.553 -3.413 1.971 5.553 0.000 -3.941 5.553" Properties=species:S:1:pos:R:3 pbc="T T T"
Pa 0.000 0.000 2.472
Pa 0.000 0.000 14.188
Ni -0.594 -1.426 7.317
Ni -1.532 -0.198 9.342
Ni -0.938 1.228 7.317
Ni 0.938 -1.228 9.342
Ni 1.532 0.198 7.317
Ni 0.594 1.426 9.342
Ge -0.760 -1.636 4.850
Ge -1.037 1.476 4.850
Ge -1.797 -0.160 11.809
Ge 1.797 0.160 4.850
Ge 1.037 -1.476 11.809
Ge 0.760 1.636 11.809
```

Most intense lines, 2θ from 5° to 70°, by angle:
| two_theta | I/Imax |
| --- | --- |
| 15.9 | 271 |
| 26.2 | 309 |
| 30.7 | 1000 |
| 37.3 | 188 |
| 40.7 | 659 |
| 40.9 | 397 |
| 41.9 | 701 |
| 46.1 | 470 |
| 56.4 | 199 |
| 69.6 | 200 |



[5]
Pa3Ni7Ge2: theoretical X-ray diffraction stick pattern (Cu Kα X-rays), based on DFT lattice parameters and positions (GGA-PBE).
Lines closer than 0.1° are merged.

Crystal structure
```
12
Lattice="-1.908 1.908 13.261 1.908 -1.908 13.261 1.908 1.908 -13.261" Properties=species:S:1:pos:R:3 pbc="T T T"
Pa 0.000 0.000 0.000
Pa 0.000 0.000 4.723
Pa 0.000 0.000 21.800
Ni 1.908 0.000 1.906
Ni 0.000 0.000 7.430
Ni 1.908 0.000 11.355
Ni 0.000 0.000 13.261
Ni 0.000 1.908 1.906
Ni 0.000 0.000 19.093
Ni 0.000 1.908 11.355
Ge 0.000 0.000 9.925
Ge 0.000 0.000 16.597
```

Most intense lines, 2θ from 5° to 70°, by angle:
| two_theta | I/Imax |
| --- | --- |
| 20.1 | 278 |
| 23.5 | 229 |
| 28.8 | 720 |
| 33.2 | 572 |
| 38.6 | 244 |
| 39.1 | 1000 |
| 44.4 | 602 |
| 47.7 | 591 |
| 56.6 | 234 |
| 67.2 | 357 |



[6]
Pa4Ni2Ge5: theoretical X-ray diffraction stick pattern (Cu Kα X-rays), based on DFT lattice parameters and positions (GGA-PBE).
Lines closer than 0.1° are merged.

Crystal structure
```
11
Lattice="7.164 0.000 0.000 0.000 3.317 0.000 -0.299 0.000 9.170" Properties=species:S:1:pos:R:3 pbc="T T T"
Pa 1.191 0.000 3.511
Pa 1.549 0.000 8.577
Pa 5.315 0.000 0.593
Pa 5.673 0.000 5.659
Ni 0.447 1.659 1.202
Ni 6.417 1.659 7.968
Ge 1.016 1.659 6.103
Ge 2.982 1.659 1.755
Ge 3.432 1.659 4.585
Ge 3.883 1.659 7.415
Ge 5.848 1.659 3.067
```

Most intense lines, 2θ from 5° to 70°, by angle:
| two_theta | I/Imax |
| --- | --- |
| 22.7 | 462 |
| 23.4 | 388 |
| 24.9 | 438 |
| 35.5 | 917 |
| 35.9 | 1000 |
| 36.9 | 808 |
| 38.5 | 353 |
| 39.4 | 600 |
| 40.9 | 476 |
| 41.6 | 472 |



[7]
Pa2Ni12Ge7: theoretical X-ray diffraction stick pattern (Cu Kα X-rays), based on DFT lattice parameters and positions (GGA-PBE).
Lines closer than 0.1° are merged.

Crystal structure
```
21
Lattice="9.356 0.000 0.000 -4.678 8.103 0.000 0.000 0.000 3.846" Properties=species:S:1:pos:R:3 pbc="T T T"
Pa 0.000 0.000 0.000
Pa 0.000 5.402 1.923
Ni -0.985 2.263 1.923
Ni -2.259 5.946 0.000
Ni -2.226 7.825 1.923
Ni 0.658 3.174 0.000
Ni 2.687 1.529 0.000
Ni 3.265 3.482 1.923
Ni 4.708 1.086 1.923
Ni 1.601 7.086 0.000
Ni 3.211 6.118 1.923
Ni 4.658 5.011 0.000
Ni 6.689 1.563 0.000
Ni 6.061 3.534 1.923
Ge -1.641 3.673 0.000
Ge 1.372 1.923 1.923
Ge -0.676 7.687 0.000
Ge 2.317 4.845 0.000
Ge 4.678 2.701 0.000
Ge 7.005 0.227 1.923
Ge 5.657 5.953 1.923
```

Most intense lines, 2θ from 5° to 70°, by angle:
| two_theta | I/Imax |
| --- | --- |
| 19.0 | 104 |
| 32.1 | 238 |
| 33.2 | 169 |
| 37.5 | 1000 |
| 38.5 | 145 |
| 40.1 | 114 |
| 46.8 | 161 |
| 47.3 | 231 |
| 51.7 | 190 |
| 54.9 | 189 |



[8]
Pa2NiGe3: theoretical X-ray diffraction stick pattern (Cu Kα X-rays), based on DFT lattice parameters and positions (GGA-PBE).
Lines closer than 0.1° are merged.

Crystal structure
```
6
Lattice="3.933 0.000 0.000 0.000 4.196 0.000 0.000 0.000 7.132" Properties=species:S:1:pos:R:3 pbc="T T T"
Pa 0.000 0.000 0.000
Pa 0.000 2.098 3.523
Ni 1.966 0.000 2.273
Ge 1.966 0.000 4.590
Ge 1.966 2.098 1.254
Ge 1.966 2.098 5.902
```

Most intense lines, 2θ from 5° to 70°, by angle:
| two_theta | I/Imax |
| --- | --- |
| 24.6 | 289 |
| 25.0 | 136 |
| 33.7 | 1000 |
| 33.9 | 498 |
| 43.1 | 198 |
| 43.8 | 371 |
| 46.2 | 163 |
| 56.0 | 244 |
| 65.0 | 117 |
| 65.5 | 225 |



[9]
Pa2Ni2Ge3: theoretical X-ray diffraction stick pattern (Cu Kα X-rays), based on DFT lattice parameters and positions (GGA-PBE).
Lines closer than 0.1° are merged.

Crystal structure
```
14
Lattice="2.137 -8.962 0.000 2.137 8.962 0.000 0.000 0.000 6.556" Properties=species:S:1:pos:R:3 pbc="T T T"
Pa 2.137 8.111 4.917
Pa 2.137 6.067 1.639
Pa 2.137 -6.067 4.917
Pa 2.137 -8.111 1.639
Ni 2.137 3.539 0.344
Ni 2.137 3.539 2.935
Ni 2.137 -3.539 3.622
Ni 2.137 -3.539 6.213
Ge 2.137 5.100 4.917
Ge 2.137 1.220 3.642
Ge 2.137 1.220 6.192
Ge 2.137 -1.220 0.364
Ge 2.137 -1.220 2.914
Ge 2.137 -5.100 1.639
```

Most intense lines, 2θ from 5° to 70°, by angle:
| two_theta | I/Imax |
| --- | --- |
| 21.4 | 184 |
| 24.1 | 277 |
| 27.2 | 171 |
| 29.1 | 175 |
| 33.0 | 272 |
| 34.9 | 934 |
| 35.4 | 1000 |
| 42.3 | 373 |
| 46.2 | 285 |
| 64.4 | 211 |



[10]
PaNiGe2Rh2: theoretical X-ray diffraction stick pattern (Cu Kα X-rays), based on DFT lattice parameters and positions (GGA-PBE).
Lines closer than 0.1° are merged.

Crystal structure
```
6
Lattice="4.422 0.000 0.000 0.000 4.422 0.000 0.000 0.000 5.381" Properties=species:S:1:pos:R:3 pbc="T T T"
Pa 0.000 0.000 0.000
Ni 0.000 0.000 2.691
Ge 0.000 2.211 2.691
Ge 2.211 0.000 2.691
Rh 2.211 2.211 1.291
Rh 2.211 2.211 4.090
```

Most intense lines, 2θ from 5° to 70°, by angle:
| two_theta | I/Imax |
| --- | --- |
| 26.1 | 243 |
| 28.5 | 575 |
| 33.1 | 661 |
| 39.2 | 1000 |
| 40.8 | 759 |
| 49.1 | 96 |
| 57.9 | 637 |
| 59.1 | 253 |
| 66.9 | 102 |
| 69.5 | 203 |



[11]
Pa2TaNi3Ge4: theoretical X-ray diffraction stick pattern (Cu Kα X-rays), based on DFT lattice parameters and positions (GGA-PBE).
Lines closer than 0.1° are merged.

Crystal structure
```
10
Lattice="4.052 0.000 0.000 0.000 4.052 0.000 0.000 0.000 10.381" Properties=species:S:1:pos:R:3 pbc="T T T"
Pa 0.000 2.026 2.463
Pa 2.026 0.000 7.917
Ta 0.000 0.000 5.190
Ni 0.000 2.026 9.121
Ni 2.026 0.000 1.260
Ni 2.026 2.026 5.190
Ge 0.000 0.000 0.000
Ge 0.000 2.026 6.793
Ge 2.026 0.000 3.588
Ge 2.026 2.026 0.000
```

Most intense lines, 2θ from 5° to 70°, by angle:
| two_theta | I/Imax |
| --- | --- |
| 23.6 | 239 |
| 34.1 | 491 |
| 34.6 | 117 |
| 35.8 | 1000 |
| 44.7 | 431 |
| 49.3 | 221 |
| 57.4 | 223 |
| 62.7 | 126 |
| 65.1 | 140 |
| 68.8 | 164 |



[12]
Pa3Tc2NiGe3: theoretical X-ray diffraction stick pattern (Cu Kα X-rays), based on DFT lattice parameters and positions (GGA-PBE).
Lines closer than 0.1° are merged.

Crystal structure
```
9
Lattice="7.116 0.000 0.000 -3.558 6.163 0.000 0.000 0.000 3.846" Properties=species:S:1:pos:R:3 pbc="T T T"
Pa -2.103 3.643 0.000
Pa 1.455 2.520 0.000
Pa 4.206 0.000 0.000
Tc 0.000 4.109 1.923
Tc 3.558 2.054 1.923
Ni 0.000 0.000 0.000
Ge -0.870 1.507 1.923
Ge 1.740 0.000 1.923
Ge 2.688 4.656 1.923
```

Most intense lines, 2θ from 5° to 70°, by angle:
| two_theta | I/Imax |
| --- | --- |
| 25.0 | 228 |
| 29.0 | 146 |
| 34.3 | 1000 |
| 37.4 | 710 |
| 38.7 | 374 |
| 44.1 | 199 |
| 47.3 | 196 |
| 53.6 | 200 |
| 59.1 | 293 |
| 62.6 | 184 |



[13]
Ni9Ge4Pd2: theoretical X-ray diffraction stick pattern (Cu Kα X-rays), based on DFT lattice parameters and positions (GGA-PBE).
Lines closer than 0.1° are merged.

Crystal structure
```
15
Lattice="4.005 0.000 0.000 -2.003 3.469 0.000 0.000 0.000 13.535" Properties=species:S:1:pos:R:3 pbc="T T T"
Ni 0.000 0.000 0.000
Ni 0.000 0.000 2.389
Ni 0.000 0.000 5.426
Ni 0.000 0.000 8.109
Ni 0.000 0.000 11.146
Ni 0.000 2.312 0.906
Ni 0.000 2.312 6.365
Ni 2.003 1.156 7.170
Ni 2.003 1.156 12.629
Ge 0.000 2.312 8.700
Ge 0.000 2.312 11.914
Ge 2.003 1.156 1.621
Ge 2.003 1.156 4.835
Pd 0.000 2.312 3.692
Pd 2.003 1.156 9.844
```

Most intense lines, 2θ from 5° to 70°, by angle:
| two_theta | I/Imax |
| --- | --- |
| 26.5 | 33 |
| 32.6 | 116 |
| 37.1 | 23 |
| 42.4 | 1000 |
| 45.3 | 973 |
| 48.1 | 58 |
| 54.3 | 37 |
| 56.9 | 24 |
| 60.9 | 29 |
| 63.7 | 280 |